Starting from DFT lattice parameters and positions (PBE), the powder diffraction line list of TbY2Ni6B6C3 was simulated for copper Kα.

Most intense lines, 10° ≤ 2θ ≤ 90°, in order of falling intensity:
2.259 Å, rel. 100; 3.358 Å, rel. 39; 2.598 Å, rel. 35; 2.478 Å, rel. 30; 1.774 Å, rel. 26; 1.425 Å, rel. 23

Crystal structure
```
data_TbY2Ni6B6C3
_cell_length_a 3.5483
_cell_length_b 3.5483
_cell_length_c 31.1716
_cell_angle_alpha 90.00
_cell_angle_beta 90.00
_cell_angle_gamma 90.00
_symmetry_space_group_name_H-M 'I 4/m m m'
_symmetry_Int_Tables_number 139
_symmetry_space_group_name_Hall '-I 4 2'
loop_
_atom_site_label
_atom_site_type_symbol
_atom_site_fract_x
_atom_site_fract_y
_atom_site_fract_z
Tb1 Tb 0.0000 0.0000 0.0000
Y1 Y 0.0000 0.0000 0.3334
Ni1 Ni 0.0000 0.5000 0.0833
Ni2 Ni 0.0000 0.5000 0.2500
B1 B 0.0000 0.0000 0.1186
B2 B 0.0000 0.0000 0.2145
B3 B 0.0000 0.0000 0.4521
C1 C 0.0000 0.0000 0.1666
C2 C 0.0000 0.0000 0.5000
```